Calculated PXRD pattern
Compound: PrBi2Au
Radiation: copper Kα
Structure: a DFT-relaxed cell (GGA-PBE, the Materials Project)
Lines closer than 0.1° are merged.

Largest 6 diffraction maxima, by angle, 2θ = 5–70°:
32.27°, I = 100, hkl 1 1 2; 35.36°, I = 12, hkl 0 0 4; 38.43°, I = 37, hkl 2 0 0; 53.21°, I = 15, hkl 2 0 4; 55.48°, I = 13, hkl 2 2 0; 65.65°, I = 27, hkl 3 1 2

a b c (Å): 4.685 4.685 10.153
angles (deg): 90.00 90.00 90.00
Space group P4/nmm (No. 129, origin choice 2)
Inequivalent atoms, fractional coordinates:
Pr 0.250 0.250 0.236
Bi 0.250 0.250 0.811
Bi 0.250 0.750 0.500
Au 0.250 0.750 0.000